1.
This entry pairs a crystal structure of Li6Ag with its calculated powder X-ray diffraction pattern. Radiation: Cu Ka. Structure: a structure optimized by DFT (PBE).
Intensities are scaled so that the largest is 100.

Largest 10 diffraction maxima, in order of rising 2θ, 2θ = 5–70°:
d (Å)  I/Imax
6.592  100
4.517  85
3.726  87
3.194  30
2.874  54
2.662  44
2.294  46
2.137  23
1.931  27
1.722  22

Cell: 4.517 4.517 6.592 Å, 90.00 90.00 90.00°
Space group P4/mmm (No. 123)
Inequivalent atoms, fractional coordinates:
Li  0.000  0.000  0.000 [1 per cell]
Li  0.000  0.500  0.250 [4 per cell]
Li  0.500  0.500  0.500 [1 per cell]
Ag  0.000  0.000  0.500 [1 per cell]

***

2.
This entry pairs a crystal structure of CaCd4In4 with its calculated powder X-ray diffraction pattern. Radiation: Cu Ka. Structure: a structure optimized by DFT (PBE).
Intensities are scaled so that the largest is 100.

Largest 10 diffraction maxima, in order of rising 2θ, 2θ = 5–70°:
d (Å)  I/Imax
5.636  22
4.500  17
3.043  12
2.875  17
2.737  25
2.534  100
2.214  31
2.157  13
1.565  12
1.545  25

Cell: 6.261 6.261 12.944 Å, 90.00 90.00 90.00°
Space group P4_2/nmc (No. 137, origin choice 2)
Inequivalent atoms, fractional coordinates:
Ca  0.250  0.750  0.250 [2 per cell]
Cd  0.004  0.250  0.012 [8 per cell]
In  0.017  0.250  0.326 [8 per cell]

***

3.
This entry pairs a crystal structure of Nd3Cd4Au4 with its calculated powder X-ray diffraction pattern. Radiation: Cu Ka. Structure: a structure optimized by DFT (PBE).
Intensities are scaled so that the largest is 100.

Largest 10 diffraction maxima, in order of rising 2θ, 2θ = 5–70°:
d (Å)  I/Imax
2.846  79
2.706  100
2.528  15
2.419  34
2.233  25
2.179  36
2.055  30
1.566  18
1.512  15
1.416  26

Cell: 4.111 8.139 16.028 Å, 90.00 90.00 90.00°
Space group Immm (No. 71)
Inequivalent atoms, fractional coordinates:
Nd  0.000  0.000  0.000 [2 per cell]
Nd  0.000  0.500  0.117 [4 per cell]
Cd  0.000  0.310  0.333 [8 per cell]
Au  0.000  0.000  0.240 [4 per cell]
Au  0.000  0.194  0.500 [4 per cell]